# 1
For Na5B8C2, the PBE geometry in Alexandria gives the computed X-ray powder pattern in this record (Cu Kα (weighted mean of Kα1 and Kα2)).
Peak positions follow from Bragg's law for the DFT cell and can differ from measured ones.

Principal peaks in the range 2θ from 5° to 70°, sorted by position:
2θ = 34.18°, intensity 12
2θ = 35.87°, intensity 17
2θ = 40.18°, intensity 25
2θ = 40.31°, intensity 25
2θ = 41.73°, intensity 100
2θ = 41.93°, intensity 37
2θ = 56.29°, intensity 5
2θ = 56.39°, intensity 5
2θ = 62.29°, intensity 18
2θ = 65.54°, intensity 8

Atomic structure:
```
Na5B8C2
1.0
11.6518 -1.4243 0.0000
11.6518 1.4243 0.0000
-2.8226 0.0000 9.7019
Na B C
10 16 4
Cartesian
0.0000 0.0000 0.0000 Na
0.3559 0.0000 6.7822 Na
3.5055 0.0000 3.8771 Na
6.7352 0.0000 0.9011 Na
7.0317 0.0000 7.7490 Na
10.2564 0.0000 4.8086 Na
13.3908 0.0000 1.9429 Na
13.7688 0.0000 8.7074 Na
16.9322 0.0000 5.7915 Na
20.1240 0.0000 2.8748 Na
-0.4639 0.0000 2.6777 B
0.7532 0.0000 4.0095 B
0.0273 0.0000 9.6151 B
4.0188 0.0000 1.1880 B
3.1067 0.0000 6.6075 B
6.2581 0.0000 3.6666 B
7.3670 0.0000 4.8784 B
9.5422 0.0000 0.8640 B
9.8860 0.0000 7.6624 B
11.0325 0.0000 8.9084 B
13.1231 0.0000 4.8026 B
17.2233 0.0000 2.8967 B
16.4242 0.0000 8.4335 B
20.4879 0.0000 0.0847 B
19.7465 0.0000 5.6747 B
20.8524 0.0000 6.9002 B
4.2252 0.0000 7.8415 C
10.6337 0.0000 2.0646 C
14.2108 0.0000 5.9999 C
16.1831 0.0000 1.7414 C
```

# 2
For Na10B17C3, the PBE geometry in Alexandria gives the computed X-ray powder pattern in this record (Cu Kα (weighted mean of Kα1 and Kα2)).
Peak positions follow from Bragg's law for the DFT cell and can differ from measured ones.

Principal peaks in the range 2θ from 5° to 70°, sorted by position:
2θ = 20.56°, intensity 3
2θ = 34.80°, intensity 22
2θ = 35.31°, intensity 8
2θ = 40.76°, intensity 100
2θ = 41.21°, intensity 54
2θ = 41.82°, intensity 37
2θ = 55.50°, intensity 12
2θ = 55.86°, intensity 5
2θ = 62.07°, intensity 9
2θ = 63.06°, intensity 17

Atomic structure:
```
Na10B17C3
1.0
8.6404 0.0000 0.0000
0.0000 7.4767 2.5416
0.0000 -7.4767 2.5416
Na B C
10 17 3
Cartesian
2.1555 -4.4863 2.5416 Na
2.1555 4.4863 2.5416 Na
2.1582 0.0000 0.0230 Na
2.1629 -1.4958 2.5567 Na
2.1629 1.4958 2.5567 Na
6.4821 0.0000 0.0230 Na
6.4775 -1.4958 2.5567 Na
6.4775 1.4958 2.5567 Na
6.4849 -4.4863 2.5416 Na
6.4849 4.4863 2.5416 Na
0.0000 -1.4340 0.8939 B
0.0000 -3.0288 1.6220 B
0.0000 1.4340 0.8939 B
0.0000 0.0000 1.7593 B
0.0000 -2.9566 3.3555 B
0.0000 3.0288 1.6220 B
0.0000 0.0000 3.4941 B
0.0000 -1.5524 4.2518 B
0.0000 2.9566 3.3555 B
0.0000 1.5524 4.2518 B
4.3202 -1.4071 0.8445 B
4.3202 -3.0130 1.6294 B
4.3202 1.4071 0.8445 B
4.3202 -2.8741 3.5563 B
4.3202 3.0130 1.6294 B
4.3202 0.0000 3.3801 B
4.3202 2.8741 3.5563 B
4.3202 0.0000 1.6690 C
4.3202 -1.4199 4.2144 C
4.3202 1.4199 4.2144 C
```

# 3
For Na5B8C2, the PBE geometry in Alexandria gives the computed X-ray powder pattern in this record (Cu Kα (weighted mean of Kα1 and Kα2)).
Peak positions follow from Bragg's law for the DFT cell and can differ from measured ones.

Principal peaks in the range 2θ from 5° to 70°, sorted by position:
2θ = 33.97°, intensity 13
2θ = 36.12°, intensity 17
2θ = 39.99°, intensity 50
2θ = 41.65°, intensity 38
2θ = 41.88°, intensity 100
2θ = 54.74°, intensity 3
2θ = 54.84°, intensity 3
2θ = 56.29°, intensity 9
2θ = 62.20°, intensity 18
2θ = 66.31°, intensity 9

Atomic structure:
```
Na5B8C2
1.0
5.2780 0.0000 0.0000
-2.6385 7.0474 0.0000
-2.6246 -1.4090 8.6745
Na B C
10 16 4
Cartesian
0.0000 0.0000 0.0000 Na
-2.6395 4.2264 4.3737 Na
0.0112 2.8274 0.0351 Na
-0.0129 0.0031 4.3066 Na
-2.6193 4.2302 8.6135 Na
0.0074 2.8192 4.3373 Na
2.6342 1.4081 0.0610 Na
0.0278 5.6352 4.3680 Na
0.0037 2.8109 8.6394 Na
2.6544 1.4119 4.3008 Na
-1.8206 2.9042 2.1704 B
-0.9018 1.3600 2.1704 B
-1.6769 0.0030 6.5068 B
-1.8531 5.6224 2.1651 B
-1.7195 2.7605 6.5051 B
-0.6872 4.3042 2.1696 B
0.8218 1.3380 2.1659 B
-1.9289 5.7174 6.5069 B
1.9438 -0.0790 2.1676 B
-0.8069 4.3003 6.5086 B
0.7021 1.3341 6.5049 B
1.7344 2.8778 2.1694 B
1.8680 0.0159 6.5094 B
1.6917 5.6353 2.1677 B
0.9167 4.2783 6.5042 B
1.8355 2.7341 6.5041 B
-3.4887 5.6676 6.5015 C
-0.8516 1.3806 6.5042 C
0.8665 4.2577 2.1703 C
3.5036 -0.0293 2.1730 C
```

What is the formula in the first record? Na5B8C2

Which formula does entry 2 have? Na10B17C3